Sc8Ni2As: calculated powder XRD pattern (Cu Kα X-rays), based on a PBE-relaxed structure.
No peak broadening, texture or thermal motion is included.

```
11
Lattice="3.831 -5.756 0.000 3.831 5.756 0.000 -1.815 0.000 5.377" Properties=species:S:1:pos:R:3 pbc="T T T"
Sc 0.000 0.000 0.000
Sc 0.206 1.504 3.162
Sc 2.540 2.577 1.053
Sc 0.206 -1.504 3.162
Sc 3.052 1.543 4.319
Sc 2.540 -2.577 1.053
Sc 3.052 -1.543 4.319
Sc 4.980 0.000 1.968
Ni 1.613 3.611 3.596
Ni 1.613 -3.611 3.596
As 2.825 0.000 0.035
```

Top 10 peaks for 2θ = 10–80°, low angle first:
2theta  d (Å)  I_rel
16.49  5.377  49.3
22.63  3.929  42.3
33.28  2.692  100.0
35.38  2.537  75.0
36.35  2.471  79.4
36.90  2.436  67.5
38.06  2.364  63.4
39.98  2.255  54.0
42.98  2.104  57.4
44.25  2.047  48.7